The following is a calculated powder diffractogram of Sr2CuCO5. It was derived from the PBE geometry in the Materials Project, using Cu Ka.

Peak list (10 most intense, 15° ≤ 2θ ≤ 90°, most intense first)
(2 0 4), 2θ = 32.6°, I = 100.0
(2 2 0), 2θ = 32.1°, I = 48.0
(2 4 4), 2θ = 57.6°, I = 35.5
(4 0 0), 2θ = 46.1°, I = 28.5
(2 0 6), 2θ = 42.2°, I = 20.1
(2 2 4), 2θ = 40.0°, I = 16.9
(4 0 8), 2θ = 68.3°, I = 10.3
(4 2 6), 2θ = 64.3°, I = 9.9
(2 2 8), 2θ = 58.5°, I = 8.9
(6 0 4), 2θ = 76.7°, I = 8.7

Cell and atoms:
Cell lengths 7.878, 7.878, 15.311 Å; angles 90.00, 90.00, 90.00 degrees
Space group I-4 (No. 82)
Inequivalent atoms, fractional coordinates:
1 Sr 0.000 0.000 0.114 [4 per cell]
2 Sr 0.000 0.000 0.386 [4 per cell]
3 Sr 0.000 0.500 0.103 [4 per cell]
4 Sr 0.000 0.500 0.620 [4 per cell]
5 Cu 0.250 0.250 0.000 [8 per cell]
6 C 0.236 0.243 0.251 [8 per cell]
7 O 0.000 0.251 0.509 [8 per cell]
8 O 0.000 0.251 0.990 [8 per cell]
9 O 0.078 0.763 0.758 [8 per cell]
10 O 0.161 0.738 0.317 [8 per cell]
11 O 0.192 0.733 0.171 [8 per cell]

The following is a calculated powder diffractogram of CaYMg6O8. It was derived from the PBE geometry in the Materials Project, using Cu Ka.

Peak list (10 most intense, 15° ≤ 2θ ≤ 90°, most intense first)
(2 0 0), 2θ = 39.9°, I = 100.0
(2 0 4), 2θ = 58.2°, I = 53.1
(0 0 4), 2θ = 40.6°, I = 44.0
(1 1 2), 2θ = 34.6°, I = 40.1
(2 2 0), 2θ = 57.7°, I = 29.6
(2 2 4), 2θ = 72.9°, I = 24.6
(1 1 1), 2θ = 29.7°, I = 20.1
(3 1 2), 2θ = 69.1°, I = 14.0
(1 0 1), 2θ = 22.1°, I = 13.3
(0 0 2), 2θ = 20.0°, I = 13.3

Cell and atoms:
Cell lengths 4.517, 4.517, 8.895 Å; angles 90.00, 90.00, 90.00 degrees
Space group P4/mmm (No. 123)
Inequivalent atoms, fractional coordinates:
1 Ca 0.000 0.000 0.000 [1 per cell]
2 Y 0.500 0.500 0.000 [1 per cell]
3 Mg 0.000 0.000 0.500 [1 per cell]
4 Mg 0.000 0.500 0.269 [4 per cell]
5 Mg 0.500 0.500 0.500 [1 per cell]
6 O 0.000 0.000 0.267 [2 per cell]
7 O 0.000 0.500 0.000 [2 per cell]
8 O 0.000 0.500 0.500 [2 per cell]
9 O 0.500 0.500 0.262 [2 per cell]

The following is a calculated powder diffractogram of AgPt4. It was derived from the PBE geometry in the Materials Project, using Cu Ka.

Peak list (10 most intense, 15° ≤ 2θ ≤ 90°, most intense first)
(0 1 5), 2θ = 39.2°, I = 100.0
(1 0 10), 2θ = 45.3°, I = 66.3
(0 0 15), 2θ = 38.3°, I = 36.0
(1 1 15), 2θ = 79.5°, I = 25.9
(0 1 20), 2θ = 65.4°, I = 22.1
(1 1 0), 2θ = 66.6°, I = 21.2
(1 0 25), 2θ = 78.4°, I = 13.2
(2 0 5), 2θ = 80.0°, I = 12.8
(0 2 10), 2θ = 84.2°, I = 11.3
(0 0 30), 2θ = 82.0°, I = 3.9

Cell and atoms:
Cell lengths 2.8100, 2.8100, 35.2522 Å; angles 90.00, 90.00, 120.00 degrees
Space group R-3m (No. 166, hexagonal axes)
Inequivalent atoms, fractional coordinates:
1 Ag 0.0000 0.0000 0.0000 [3 per cell]
2 Pt 0.0000 0.0000 0.1995 [6 per cell]
3 Pt 0.0000 0.0000 0.4012 [6 per cell]

The following is a calculated powder diffractogram of BaY3Cl11. It was derived from the PBE geometry in the Materials Project, using Cu Ka.

Peak list (10 most intense, 15° ≤ 2θ ≤ 90°, most intense first)
(0 1 0), 2θ = 16.6°, I = 100.0
(0 0 4), 2θ = 18.4°, I = 52.5
(0 2 0), 2θ = 33.6°, I = 48.7
(2 0 1), 2θ = 17.8°, I = 30.4
(4 0 0), 2θ = 34.8°, I = 26.9
(2 0 3), 2θ = 22.1°, I = 26.4
(2 0 2), 2θ = 19.5°, I = 26.2
(2 0 7), 2θ = 37.0°, I = 22.6
(4 0 4), 2θ = 39.7°, I = 22.3
(4 2 0), 2θ = 49.1°, I = 19.0

Cell and atoms:
Cell lengths 10.310, 5.339, 19.279 Å; angles 90.00, 90.00, 90.00 degrees
Space group Pmma (No. 51)
Inequivalent atoms, fractional coordinates:
1 Ba 0.250 0.000 0.014 [2 per cell]
2 Y 0.000 0.000 0.500 [2 per cell]
3 Y 0.001 0.000 0.764 [4 per cell]
4 Cl 0.000 0.500 0.500 [2 per cell]
5 Cl 0.004 0.500 0.761 [4 per cell]
6 Cl 0.037 0.000 0.899 [4 per cell]
7 Cl 0.069 0.000 0.368 [4 per cell]
8 Cl 0.250 0.000 0.203 [2 per cell]
9 Cl 0.250 0.000 0.536 [2 per cell]
10 Cl 0.250 0.000 0.732 [2 per cell]
11 Cl 0.250 0.500 0.069 [2 per cell]

The following is a calculated powder diffractogram of Dy2CuS2O12. It was derived from the PBE geometry in the Materials Project, using Cu Ka.

Peak list (10 most intense, 15° ≤ 2θ ≤ 90°, most intense first)
(0 1 3), 2θ = 29.0°, I = 100.0
(1 2 0), 2θ = 29.7°, I = 65.5
(0 2 0), 2θ = 26.0°, I = 45.9
(1 1 3), 2θ = 33.9°, I = 41.9
(2 1 3), 2θ = 43.5°, I = 40.2
(2 1 -1), 2θ = 31.3°, I = 39.6
(1 3 3), 2θ = 51.2°, I = 39.0
(1 2 -2), 2θ = 33.5°, I = 38.6
(3 1 -1), 2θ = 44.8°, I = 37.4
(2 0 -2), 2θ = 31.1°, I = 31.4

Cell and atoms:
Cell lengths 6.372, 6.843, 10.437 Å; angles 90.00, 97.86, 90.00 degrees
Space group P2_1/c (No. 14)
Inequivalent atoms, fractional coordinates:
1 Dy 0.078 0.005 0.322 [4 per cell]
2 Cu 0.000 0.000 0.000 [2 per cell]
3 S 0.368 0.171 0.627 [4 per cell]
4 O 0.059 0.679 0.627 [4 per cell]
5 O 0.061 0.665 0.370 [4 per cell]
6 O 0.212 0.040 0.543 [4 per cell]
7 O 0.252 0.194 0.746 [4 per cell]
8 O 0.400 0.144 0.066 [4 per cell]
9 O 0.437 0.561 0.831 [4 per cell]